Structure and computed powder X-ray diffraction pattern of Cr4FeCuSe4S4 (a cell relaxed with GGA-PBE; λ = 1.5418 Å (Cu Kα)).
No peak broadening, texture or thermal motion is included.

a b c (Å): 7.227 7.227 7.227
angles (deg): 60.00 60.00 60.00
Fractional positions:
Cr1 0.383 0.383 0.383
Cr2 0.383 0.383 0.851
Cr3 0.383 0.851 0.383
Cr4 0.851 0.383 0.383
Fe1 0.000 0.000 0.000
Cu1 0.750 0.750 0.750
Se1 0.133 0.133 0.133
Se2 0.133 0.133 0.601
Se3 0.133 0.601 0.133
Se4 0.601 0.133 0.133
S1 0.150 0.617 0.617
S2 0.617 0.150 0.617
S3 0.617 0.617 0.150
S4 0.617 0.617 0.617

Top 6 peaks for 2θ from 5° to 70°, by intensity:
- 50.51°, d 1.807, I 100
- 28.97°, d 3.082, I 77
- 35.12°, d 2.555, I 70
- 46.15°, d 1.967, I 42
- 30.29°, d 2.950, I 27
- 24.64°, d 3.614, I 24